Entry 1:
Diffraction record for CsAsIO6. The powder XRD pattern is calculated, not measured: it uses a GGA-PBE-relaxed structure and Cu Kα (weighted mean of Kα1 and Kα2).
Peak positions follow from Bragg's law for the DFT cell and can differ from measured ones.

Most intense lines, 2θ = 15–90°, by intensity:
2θ 23.48, I = 100; 2θ 43.39, I = 41; 2θ 34.23, I = 26; 2θ 25.86, I = 18; 2θ 55.19, I = 18; 2θ 41.93, I = 16

Structural model:
Cell: 5.239 5.239 6.891 Å, 90.00 90.00 120.00°
Atoms (fractional coordinates):
Cs1 0.000 0.000 0.000
As1 0.333 0.667 0.500
I1 0.667 0.333 0.500
O1 0.021 0.402 0.661
O2 0.021 0.620 0.339
O3 0.380 0.402 0.339
O4 0.380 0.979 0.661
O5 0.598 0.620 0.661
O6 0.598 0.979 0.339



Entry 2:
Diffraction record for La4Hg2P. The powder XRD pattern is calculated, not measured: it uses a GGA-PBE-relaxed structure and Cu Kα (weighted mean of Kα1 and Kα2).
Peak positions follow from Bragg's law for the DFT cell and can differ from measured ones.

Most intense lines, 2θ = 15–90°, by intensity:
2θ 28.98, I = 100; 2θ 31.51, I = 48; 2θ 35.08, I = 42; 2θ 30.92, I = 32; 2θ 31.33, I = 31; 2θ 42.42, I = 30

Structural model:
Cell: 7.034 7.034 9.107 Å, 119.95 119.95 35.26°
Atoms (fractional coordinates):
La1 0.085 0.085 0.364
La2 0.335 0.335 0.926
La3 0.665 0.665 0.074
La4 0.915 0.915 0.636
Hg1 0.372 0.372 0.327
Hg2 0.628 0.628 0.673
P1 0.000 0.000 0.000



Entry 3:
Diffraction record for DyHgBr. The powder XRD pattern is calculated, not measured: it uses a GGA-PBE-relaxed structure and Cu Kα (weighted mean of Kα1 and Kα2).
Peak positions follow from Bragg's law for the DFT cell and can differ from measured ones.

Most intense lines, 2θ = 15–90°, by intensity:
2θ 31.13, I = 100; 2θ 35.93, I = 41; 2θ 25.57, I = 32; 2θ 44.27, I = 28; 2θ 47.03, I = 27; 2θ 32.51, I = 24

Structural model:
Cell: 6.721 3.862 7.291 Å, 90.00 104.10 90.00°
Atoms (fractional coordinates):
Dy1 0.005 0.250 0.217
Dy2 0.995 0.750 0.783
Hg1 0.332 0.250 0.990
Hg2 0.668 0.750 0.010
Br1 0.238 0.750 0.494
Br2 0.762 0.250 0.506



Entry 4:
Diffraction record for CsYSeCl2O3. The powder XRD pattern is calculated, not measured: it uses a GGA-PBE-relaxed structure and Cu Kα (weighted mean of Kα1 and Kα2).
Peak positions follow from Bragg's law for the DFT cell and can differ from measured ones.

Most intense lines, 2θ = 15–90°, by intensity:
2θ 25.63, I = 100; 2θ 30.18, I = 97; 2θ 23.62, I = 96; 2θ 29.72, I = 93; 2θ 25.13, I = 88; 2θ 21.40, I = 73

Structural model:
Cell: 6.699 7.088 18.292 Å, 90.00 103.53 90.00°
Atoms (fractional coordinates):
Cs1 0.242 0.212 0.053
Cs2 0.242 0.288 0.553
Cs3 0.758 0.712 0.447
Cs4 0.758 0.788 0.947
Y1 0.141 0.672 0.259
Y2 0.141 0.828 0.759
Y3 0.859 0.172 0.241
Y4 0.859 0.328 0.741
Se1 0.364 0.177 0.291
Se2 0.364 0.323 0.791
Se3 0.636 0.677 0.209
Se4 0.636 0.823 0.709
Cl1 0.132 0.682 0.112
Cl2 0.132 0.818 0.612
Cl3 0.231 0.650 0.408
Cl4 0.231 0.850 0.908
Cl5 0.769 0.150 0.092
Cl6 0.769 0.350 0.592
Cl7 0.868 0.182 0.388
Cl8 0.868 0.318 0.888
O1 0.177 0.153 0.755
O2 0.177 0.347 0.255
O3 0.184 0.503 0.765
O4 0.184 0.997 0.265
O5 0.496 0.668 0.276
O6 0.496 0.832 0.776
O7 0.504 0.168 0.224
O8 0.504 0.332 0.724
O9 0.816 0.003 0.735
O10 0.816 0.497 0.235
O11 0.823 0.653 0.745
O12 0.823 0.847 0.245



Entry 5:
Diffraction record for NdFe2Co9. The powder XRD pattern is calculated, not measured: it uses a GGA-PBE-relaxed structure and Cu Kα (weighted mean of Kα1 and Kα2).
Peak positions follow from Bragg's law for the DFT cell and can differ from measured ones.

Most intense lines, 2θ = 15–90°, by intensity:
2θ 40.15, I = 100; 2θ 46.05, I = 64; 2θ 46.31, I = 48; 2θ 44.59, I = 41; 2θ 36.80, I = 36; 2θ 44.79, I = 36

Structural model:
Cell: 8.083 8.083 4.702 Å, 90.00 90.00 90.00°
Atoms (fractional coordinates):
Nd1 0.000 0.000 0.000
Nd2 0.500 0.500 0.000
Fe1 0.114 0.386 0.000
Fe2 0.386 0.886 0.000
Fe3 0.614 0.114 0.000
Fe4 0.886 0.614 0.000
Co1 0.000 0.500 0.500
Co2 0.067 0.216 0.500
Co3 0.178 0.678 0.236
Co4 0.178 0.678 0.764
Co5 0.216 0.933 0.500
Co6 0.284 0.433 0.500
Co7 0.322 0.178 0.236
Co8 0.322 0.178 0.764
Co9 0.433 0.716 0.500
Co10 0.500 0.000 0.500
Co11 0.567 0.284 0.500
Co12 0.678 0.822 0.236
Co13 0.678 0.822 0.764
Co14 0.716 0.567 0.500
Co15 0.784 0.067 0.500
Co16 0.822 0.322 0.236
Co17 0.822 0.322 0.764
Co18 0.933 0.784 0.500



Entry 6:
Diffraction record for La5PmDy2Y. The powder XRD pattern is calculated, not measured: it uses a GGA-PBE-relaxed structure and Cu Kα (weighted mean of Kα1 and Kα2).
Peak positions follow from Bragg's law for the DFT cell and can differ from measured ones.

Most intense lines, 2θ = 15–90°, by intensity:
2θ 31.01, I = 100; 2θ 32.41, I = 39; 2θ 26.25, I = 19; 2θ 33.61, I = 18; 2θ 56.96, I = 18; 2θ 30.18, I = 17

Structural model:
Cell: 11.278 11.278 10.665 Å, 90.00 90.00 151.66°
Atoms (fractional coordinates):
La1 0.000 0.000 0.000
La2 0.000 0.000 0.500
La3 0.123 0.877 0.750
La4 0.221 0.779 0.060
La5 0.221 0.779 0.440
La6 0.500 0.500 0.250
La7 0.500 0.500 0.750
La8 0.779 0.221 0.560
La9 0.779 0.221 0.940
La10 0.877 0.123 0.250
Pm1 0.286 0.714 0.750
Pm2 0.714 0.286 0.250
Dy1 0.387 0.613 0.502
Dy2 0.387 0.613 0.998
Dy3 0.613 0.387 0.002
Dy4 0.613 0.387 0.498
Y1 0.101 0.899 0.250
Y2 0.899 0.101 0.750



Entry 7:
Diffraction record for SrTa2O6. The powder XRD pattern is calculated, not measured: it uses a GGA-PBE-relaxed structure and Cu Kα (weighted mean of Kα1 and Kα2).
Peak positions follow from Bragg's law for the DFT cell and can differ from measured ones.

Most intense lines, 2θ = 15–90°, by intensity:
2θ 29.12, I = 100; 2θ 28.67, I = 92; 2θ 17.53, I = 50; 2θ 23.07, I = 47; 2θ 31.53, I = 35; 2θ 51.68, I = 32

Structural model:
Cell: 11.175 7.709 5.675 Å, 90.00 90.00 90.00°
Atoms (fractional coordinates):
Sr1 0.040 0.250 0.038
Sr2 0.460 0.750 0.538
Sr3 0.540 0.250 0.462
Sr4 0.960 0.750 0.962
Ta1 0.142 0.504 0.535
Ta2 0.142 0.996 0.535
Ta3 0.358 0.004 0.035
Ta4 0.358 0.496 0.035
Ta5 0.642 0.504 0.965
Ta6 0.642 0.996 0.965
Ta7 0.858 0.004 0.465
Ta8 0.858 0.496 0.465
O1 0.024 0.533 0.281
O2 0.024 0.967 0.281
O3 0.130 0.750 0.637
O4 0.146 0.250 0.470
O5 0.215 0.048 0.857
O6 0.215 0.452 0.857
O7 0.285 0.548 0.357
O8 0.285 0.952 0.357
O9 0.354 0.750 0.970
O10 0.370 0.250 0.137
O11 0.476 0.033 0.781
O12 0.476 0.467 0.781
O13 0.524 0.533 0.219
O14 0.524 0.967 0.219
O15 0.630 0.750 0.863
O16 0.646 0.250 0.030
O17 0.715 0.048 0.643
O18 0.715 0.452 0.643
O19 0.785 0.548 0.143
O20 0.785 0.952 0.143
O21 0.854 0.750 0.530
O22 0.870 0.250 0.363
O23 0.976 0.033 0.719
O24 0.976 0.467 0.719



Entry 8:
Diffraction record for NpCO5F. The powder XRD pattern is calculated, not measured: it uses a GGA-PBE-relaxed structure and Cu Kα (weighted mean of Kα1 and Kα2).
Peak positions follow from Bragg's law for the DFT cell and can differ from measured ones.

Most intense lines, 2θ = 15–90°, by intensity:
2θ 18.02, I = 100; 2θ 24.33, I = 62; 2θ 21.72, I = 27; 2θ 28.98, I = 26; 2θ 33.66, I = 23; 2θ 36.01, I = 23

Structural model:
Cell: 5.449 5.449 7.614 Å, 104.89 104.89 97.33°
Atoms (fractional coordinates):
Np1 0.000 0.500 0.000
Np2 0.500 0.000 0.500
C1 0.076 0.924 0.750
C2 0.924 0.076 0.250
O1 0.104 0.743 0.854
O2 0.142 0.172 0.873
O3 0.172 0.142 0.373
O4 0.257 0.896 0.646
O5 0.282 0.718 0.250
O6 0.718 0.282 0.750
O7 0.743 0.104 0.354
O8 0.828 0.858 0.627
O9 0.858 0.828 0.127
O10 0.896 0.257 0.146
F1 0.472 0.528 0.750
F2 0.528 0.472 0.250